TlCd2B2Rh5: simulated powder XRD pattern (λ = 1.5418 Å (Cu Kα)), based on a cell relaxed with PBE.
No peak broadening, texture or thermal motion is included.

Principal peaks in the range 2θ = 10–90°, low angle first:
| 2theta | intensity | index |
| --- | --- | --- |
| 36.2 | 25.9 | 4 0 0 |
| 36.5 | 55.7 | 2 1 1 |
| 37.4 | 63.5 | 4 1 0 |
| 39.8 | 52.5 | 2 2 1 |
| 40.7 | 59.1 | 4 2 0 |
| 41.9 | 100.0 | 3 1 1 |
| 45.0 | 23.0 | 3 2 1 |
| 63.0 | 21.2 | 5 3 1 |
| 64.5 | 24.9 | 6 0 1 |
| 74.9 | 21.5 | 7 1 1 |

Structure:
```
data_TlCd2B2Rh5
_cell_length_a 9.9236
_cell_length_b 9.9236
_cell_length_c 2.9628
_cell_angle_alpha 90.00
_cell_angle_beta 90.00
_cell_angle_gamma 90.00
_space_group_name_H-M_alt 'P 4/m b m'
_space_group_IT_number 127
_space_group_name_Hall '-P 4 2ab'
loop_
_atom_site_label
_atom_site_type_symbol
_atom_site_fract_x
_atom_site_fract_y
_atom_site_fract_z
_atom_site_occupancy
Tl1 Tl 0.0000 0.0000 0.0000 1
Cd1 Cd 0.1787 0.3213 0.0000 1
B1 B 0.1218 0.6218 0.0000 1
Rh1 Rh 0.0000 0.5000 0.5000 1
Rh2 Rh 0.0691 0.7695 0.5000 1
```